[1]
The following is a calculated XRD peak list of Pr2ZnGa3Rh4. It was derived from a cell relaxed with PBE, using CuKα.

Peak list (10 most intense, 15 to 90 degrees two-theta, by angle)
2θ (°)	I_rel
29.36	14
33.63	66
34.34	100
42.00	66
46.51	18
49.52	25
54.85	32
60.90	22
66.90	20
71.82	23

Structural model:
```
Pr2ZnGa3Rh4
1.0
4.3025 0.0000 0.0000
0.0000 4.3025 0.0000
0.0000 0.0000 10.1835
Pr Zn Ga Rh
2 1 3 4
Cartesian
0.0000 2.1512 2.4691
2.1512 0.0000 7.7145
0.0000 0.0000 5.0918
0.0000 2.1512 8.9183
2.1512 0.0000 1.2653
2.1512 2.1512 5.0918
0.0000 0.0000 0.0000
0.0000 2.1512 6.4309
2.1512 0.0000 3.7526
2.1512 2.1512 0.0000
```

---

[2]
The following is a calculated XRD peak list of Ce5Sb2Pb. It was derived from a cell relaxed with PBE, using CuKα.

Peak list (10 most intense, 15 to 90 degrees two-theta, by angle)
2θ (°)	I_rel
27.63	33
30.67	58
31.66	100
32.96	60
34.91	25
40.72	57
45.64	40
48.34	19
58.04	18
73.73	18

Structural model:
```
Ce5Sb2Pb
1.0
2.7176 -5.0540 0.0000
2.7176 5.0540 0.0000
0.0000 0.0000 17.4883
Ce Sb Pb
10 4 2
Cartesian
2.7176 4.4889 9.9282
2.7176 4.4889 16.3042
2.7176 2.4014 4.3721
2.7176 0.8717 10.4675
2.7176 0.8717 15.7649
2.7176 -0.8717 1.7234
2.7176 -0.8717 7.0208
2.7176 -2.4014 13.1162
2.7176 -4.4889 1.1841
2.7176 -4.4889 7.5601
2.7176 2.3478 1.2351
2.7176 2.3478 7.5091
2.7176 -2.3478 9.9792
2.7176 -2.3478 16.2532
2.7176 4.4518 13.1162
2.7176 -4.4518 4.3721
```

---

Q: Which formula does entry 1 have?
A: Pr2ZnGa3Rh4